Starting from the GGA+U geometry in the Materials Project, the powder diffractogram of Li2Mn3B3O9 was calculated for Cu Kα X-rays.
Peak positions follow from Bragg's law for the DFT cell and can differ from measured ones.

Cell and atoms:
a = 6.146 Å, b = 7.875 Å, c = 9.018 Å
α = 114.07°, β = 103.26°, γ = 99.31°
Element x y z (fractional)
Li1 0.003 0.319 0.437
Li2 0.333 0.005 0.214
Li3 0.667 0.995 0.786
Li4 0.997 0.681 0.563
Mn1 0.077 0.323 0.096
Mn2 0.288 0.048 0.576
Mn3 0.383 0.632 0.786
Mn4 0.617 0.368 0.214
Mn5 0.712 0.952 0.424
Mn6 0.923 0.677 0.904
B1 0.021 0.297 0.763
B2 0.269 0.026 0.899
B3 0.376 0.636 0.446
B4 0.624 0.364 0.554
B5 0.731 0.974 0.101
B6 0.979 0.703 0.237
O1 0.018 0.198 0.594
O2 0.064 0.802 0.158
O3 0.120 0.499 0.851
O4 0.146 0.830 0.820
O5 0.252 0.555 0.521
O6 0.280 0.147 0.071
O7 0.361 0.526 0.274
O8 0.404 0.103 0.829
O9 0.489 0.170 0.468
O10 0.511 0.830 0.532
O11 0.596 0.897 0.171
O12 0.639 0.474 0.726
O13 0.720 0.853 0.929
O14 0.748 0.445 0.479
O15 0.854 0.170 0.180
O16 0.880 0.501 0.149
O17 0.936 0.198 0.842
O18 0.982 0.802 0.406

Principal peaks in the range 2θ from 5° to 70°, in order of falling intensity:
| two_theta | I_rel | h k l |
| --- | --- | --- |
| 34.5 | 100.0 | 2 -2 0 |
| 20.4 | 78.7 | 0 1 -2 |
| 22.9 | 64.9 | 0 2 -1 |
| 40.6 | 44.5 | 2 2 -2 |
| 22.1 | 42.4 | 1 0 1 |
| 34.1 | 30.3 | 1 2 -3 |
| 34.0 | 24.5 | 1 2 0 |
| 20.8 | 23.6 | 0 1 1 |
| 39.9 | 22.1 | 1 1 2 |
| 38.0 | 19.5 | 1 -1 3 |